(1)
Structure and simulated X-ray diffraction stick pattern of Tb2Ho12Zr (a structure optimized by DFT (PBE); Cu Kα, 1.54184 Å).
Lines closer than 0.1° are merged.

Main lines, in order of falling intensity (2θ from 10° to 90°):
31.64 deg, I 100
32.31 deg, I 82
34.20 deg, I 54
30.85 deg, I 50
34.71 deg, I 49
32.88 deg, I 44

Cell and atoms:
a b c (Å): 3.504 5.542 23.871
angles (deg): 90.00 94.17 90.00
Positions (direct):
Tb 0.137 0.000 0.275
Tb 0.863 0.000 0.725
Ho 0.033 0.500 0.063
Ho 0.064 0.000 0.127
Ho 0.222 0.500 0.444
Ho 0.289 0.000 0.577
Ho 0.336 0.500 0.673
Ho 0.404 0.500 0.810
Ho 0.596 0.500 0.190
Ho 0.664 0.500 0.327
Ho 0.711 0.000 0.423
Ho 0.778 0.500 0.556
Ho 0.936 0.000 0.873
Ho 0.967 0.500 0.937
Zr 0.500 0.000 0.000

=====

(2)
Structure and simulated X-ray diffraction stick pattern of Tb4Ho6Zr (a structure optimized by DFT (PBE); Cu Kα, 1.54184 Å).
Lines closer than 0.1° are merged.

Main lines, in order of falling intensity (2θ from 10° to 90°):
30.52 deg, I 100
32.60 deg, I 56
61.10 deg, I 21
52.89 deg, I 11
47.75 deg, I 11
67.47 deg, I 10

Cell and atoms:
a b c (Å): 8.686 8.686 8.918
angles (deg): 90.00 90.00 90.00
Positions (direct):
Tb 0.146 0.354 0.250
Tb 0.146 0.354 0.750
Tb 0.354 0.854 0.250
Tb 0.354 0.854 0.750
Tb 0.646 0.146 0.250
Tb 0.646 0.146 0.750
Tb 0.854 0.646 0.250
Tb 0.854 0.646 0.750
Ho 0.000 0.000 0.175
Ho 0.000 0.000 0.825
Ho 0.152 0.655 0.500
Ho 0.155 0.652 0.000
Ho 0.345 0.152 0.500
Ho 0.348 0.155 0.000
Ho 0.500 0.500 0.325
Ho 0.500 0.500 0.675
Ho 0.652 0.845 0.000
Ho 0.655 0.848 0.500
Ho 0.845 0.348 0.000
Ho 0.848 0.345 0.500
Zr 0.000 0.000 0.500
Zr 0.500 0.500 0.000

=====

(3)
Structure and simulated X-ray diffraction stick pattern of Tb3Ho12Zr (a structure optimized by DFT (PBE); Cu Kα, 1.54184 Å).
Lines closer than 0.1° are merged.

Main lines, in order of falling intensity (2θ from 10° to 90°):
31.24 deg, I 100
36.23 deg, I 50
52.17 deg, I 35
62.03 deg, I 28
62.16 deg, I 13
65.16 deg, I 12

Cell and atoms:
a b c (Å): 4.963 4.963 19.804
angles (deg): 90.00 90.00 90.00
Positions (direct):
Tb 0.000 0.000 0.000
Tb 0.000 0.000 0.252
Tb 0.000 0.000 0.748
Ho 0.000 0.500 0.127
Ho 0.000 0.500 0.382
Ho 0.000 0.500 0.618
Ho 0.000 0.500 0.873
Ho 0.500 0.000 0.127
Ho 0.500 0.000 0.382
Ho 0.500 0.000 0.618
Ho 0.500 0.000 0.873
Ho 0.500 0.500 0.000
Ho 0.500 0.500 0.253
Ho 0.500 0.500 0.500
Ho 0.500 0.500 0.747
Zr 0.000 0.000 0.500

=====

(4)
Structure and simulated X-ray diffraction stick pattern of Tb3Ho6Zr (a structure optimized by DFT (PBE); Cu Kα, 1.54184 Å).
Lines closer than 0.1° are merged.

Main lines, in order of falling intensity (2θ from 10° to 90°):
30.84 deg, I 100
36.53 deg, I 59
28.72 deg, I 55
65.27 deg, I 40
36.74 deg, I 34
33.40 deg, I 30

Cell and atoms:
a b c (Å): 4.892 11.389 11.378
angles (deg): 90.00 90.06 90.00
Positions (direct):
Tb 0.000 0.000 0.000
Tb 0.000 0.149 0.351
Tb 0.000 0.351 0.851
Tb 0.000 0.500 0.500
Tb 0.000 0.649 0.149
Tb 0.000 0.851 0.649
Ho 0.001 0.147 0.647
Ho 0.001 0.353 0.147
Ho 0.499 0.000 0.215
Ho 0.499 0.500 0.715
Ho 0.500 0.215 0.000
Ho 0.500 0.285 0.500
Ho 0.500 0.715 0.500
Ho 0.500 0.785 0.000
Ho 0.501 0.000 0.785
Ho 0.501 0.500 0.285
Ho 0.999 0.647 0.853
Ho 0.999 0.853 0.353
Zr 0.500 0.000 0.500
Zr 0.500 0.500 0.000